1.
Simulated PXRD pattern
Compound: MgCd3
Radiation: Cu Ka
Structure: the PBE geometry in the Materials Project

Largest 6 diffraction maxima, in order of rising 2θ, 2θ from 15° to 90°:
Position (°2θ)	d/Å	I/Imax
31.6	2.831	29.2
36.8	2.441	100.0
37.3	2.408	20.9
56.3	1.635	18.2
67.0	1.396	16.0
69.5	1.352	18.8

Cell and atoms:
Cell: 3.2693 3.2693 9.6308 Å, 90.00 90.00 120.00°
Positions (direct):
Mg  0.0000  0.0000  0.0000
Cd  0.0000  0.0000  0.5000
Cd  0.6667  0.3333  0.2473
Cd  0.6667  0.3333  0.7527

2.
Simulated PXRD pattern
Compound: Zr5V5Si6
Radiation: Cu Ka
Structure: the PBE geometry in the Materials Project

Largest 6 diffraction maxima, in order of rising 2θ, 2θ from 15° to 90°:
Position (°2θ)	d/Å	I/Imax
28.9	3.086	53.4
39.8	2.266	99.9
40.3	2.238	100.0
40.6	2.222	97.3
40.8	2.214	62.0
42.6	2.123	99.7

Cell and atoms:
Cell: 7.5624 7.5624 5.1304 Å, 90.07 90.07 118.57°
Positions (direct):
Zr  0.0000  0.0000  0.0000
Zr  0.0122  0.2571  0.5004
Zr  0.2571  0.0122  0.5004
Zr  0.2603  0.4998  0.9994
Zr  0.4998  0.2603  0.9994
V  0.5255  0.5255  0.5000
V  0.5914  0.9264  0.2502
V  0.5910  0.9261  0.7491
V  0.9264  0.5914  0.2502
V  0.9261  0.5910  0.7491
Si  0.2598  0.8551  0.9992
Si  0.2675  0.6574  0.5002
Si  0.6574  0.2675  0.5002
Si  0.6593  0.6593  0.9995
Si  0.8465  0.8465  0.4999
Si  0.8551  0.2598  0.9992

3.
Simulated PXRD pattern
Compound: LiSiBiO4
Radiation: Cu Ka
Structure: the PBE geometry in the Materials Project

Largest 6 diffraction maxima, in order of rising 2θ, 2θ from 15° to 90°:
Position (°2θ)	d/Å	I/Imax
16.3	5.438	88.5
17.2	5.160	86.5
22.2	4.013	54.3
23.5	3.781	52.2
29.6	3.021	54.0
32.2	2.779	100.0

Cell and atoms:
Cell: 5.6220 6.4086 11.1846 Å, 90.00 113.24 90.00°
Positions (direct):
Li  0.0739  0.1346  0.4278
Li  0.0739  0.3654  0.9278
Li  0.9261  0.6346  0.0722
Li  0.9261  0.8654  0.5722
Si  0.0923  0.6513  0.3596
Si  0.0923  0.8487  0.8596
Si  0.9077  0.1513  0.1404
Si  0.9077  0.3487  0.6404
Bi  0.4444  0.6138  0.6508
Bi  0.4444  0.8862  0.1508
Bi  0.5556  0.1138  0.8492
Bi  0.5556  0.3862  0.3492
O  0.1719  0.6642  0.9709
O  0.1719  0.8358  0.4709
O  0.2187  0.0668  0.9444
O  0.2187  0.4332  0.4444
O  0.2236  0.1360  0.2219
O  0.2236  0.3640  0.7219
O  0.2305  0.6602  0.2531
O  0.2305  0.8398  0.7531
O  0.7695  0.1602  0.2469
O  0.7695  0.3398  0.7469
O  0.7764  0.6360  0.2781
O  0.7764  0.8640  0.7781
O  0.7813  0.5668  0.5556
O  0.7813  0.9332  0.0556
O  0.8281  0.1642  0.5291
O  0.8281  0.3358  0.0291

4.
Simulated PXRD pattern
Compound: LaCu5
Radiation: Cu Ka
Structure: the PBE geometry in the Materials Project

Largest 6 diffraction maxima, in order of rising 2θ, 2θ from 15° to 90°:
Position (°2θ)	d/Å	I/Imax
29.4	3.036	39.5
34.8	2.580	28.9
40.4	2.234	34.0
41.2	2.189	100.0
43.8	2.069	27.5
66.7	1.402	22.4

Cell and atoms:
Cell: 5.1602 5.1602 4.1376 Å, 90.00 90.00 120.00°
Positions (direct):
La  0.0000  0.0000  0.0000
Cu  0.0000  0.5000  0.5000
Cu  0.3333  0.6667  0.0000
Cu  0.5000  0.0000  0.5000
Cu  0.5000  0.5000  0.5000
Cu  0.6667  0.3333  0.0000

5.
Simulated PXRD pattern
Compound: SiO2
Radiation: Cu Ka
Structure: the PBE geometry in the Materials Project

Largest 6 diffraction maxima, in order of rising 2θ, 2θ from 15° to 90°:
Position (°2θ)	d/Å	I/Imax
15.0	5.903	64.2
17.5	5.069	100.0
23.1	3.850	39.6
26.7	3.336	75.0
29.1	3.064	40.7
31.4	2.852	26.5

Cell and atoms:
Cell: 12.6347 12.6347 12.6347 Å, 132.69 132.69 69.14°
Positions (direct):
Si  0.1543  0.3933  0.4414
Si  0.1543  0.7130  0.7610
Si  0.2870  0.5480  0.4414
Si  0.2870  0.8457  0.7390
Si  0.3933  0.1543  0.9414
Si  0.3933  0.4520  0.2390
Si  0.4520  0.3933  0.7390
Si  0.4520  0.7130  0.0586
Si  0.5480  0.2870  0.9414
Si  0.5480  0.6067  0.2610
Si  0.6067  0.5480  0.7610
Si  0.6067  0.8457  0.0586
Si  0.7130  0.1543  0.2610
Si  0.7130  0.4520  0.5586
Si  0.8457  0.2870  0.2390
Si  0.8457  0.6067  0.5586
O  0.0000  0.2803  0.2803
O  0.0000  0.7197  0.7197
O  0.1529  0.5477  0.6052
O  0.1748  0.4248  0.3496
O  0.1748  0.8252  0.7500
O  0.2428  0.7095  0.5334
O  0.2803  0.0000  0.7803
O  0.2803  0.5000  0.2803
O  0.2905  0.3239  0.5334
O  0.2905  0.7572  0.9666
O  0.3239  0.2905  0.0334
O  0.4248  0.1748  0.8496
O  0.4248  0.5752  0.2500
O  0.4425  0.5477  0.8948
O  0.4523  0.5575  0.6052
O  0.4523  0.8471  0.8948
O  0.5000  0.2803  0.7803
O  0.5000  0.7197  0.2197
O  0.5477  0.1529  0.1052
O  0.5477  0.4425  0.3948
O  0.5575  0.4523  0.1052
O  0.5752  0.4248  0.7500
O  0.5752  0.8252  0.1504
O  0.6761  0.7095  0.9666
O  0.7095  0.2428  0.0334
O  0.7095  0.6761  0.4666
O  0.7197  0.0000  0.2197
O  0.7197  0.5000  0.7197
O  0.7572  0.2905  0.4666
O  0.8252  0.1748  0.2500
O  0.8252  0.5752  0.6504
O  0.8471  0.4523  0.3948

6.
Simulated PXRD pattern
Compound: CrIr3
Radiation: Cu Ka
Structure: the PBE geometry in the Materials Project

Largest 6 diffraction maxima, in order of rising 2θ, 2θ from 15° to 90°:
Position (°2θ)	d/Å	I/Imax
40.9	2.209	100.0
41.0	2.202	31.0
47.6	1.911	63.2
69.5	1.353	21.1
69.7	1.350	18.4
83.9	1.153	36.7

Cell and atoms:
Cell: 2.7060 2.7060 26.4205 Å, 90.00 90.00 120.00°
Positions (direct):
Cr  0.0000  0.0000  0.0000
Cr  0.3333  0.6667  0.6667
Cr  0.6667  0.3333  0.3333
Ir  0.0000  0.0000  0.2545
Ir  0.0000  0.0000  0.5000
Ir  0.0000  0.0000  0.7455
Ir  0.3333  0.6667  0.1667
Ir  0.3333  0.6667  0.4122
Ir  0.3333  0.6667  0.9212
Ir  0.6667  0.3333  0.0788
Ir  0.6667  0.3333  0.5878
Ir  0.6667  0.3333  0.8333

7.
Simulated PXRD pattern
Compound: Li2GaPt
Radiation: Cu Ka
Structure: the PBE geometry in the Materials Project

Largest 6 diffraction maxima, in order of rising 2θ, 2θ from 15° to 90°:
Position (°2θ)	d/Å	I/Imax
25.4	3.506	100.0
29.4	3.037	18.2
42.1	2.147	76.6
49.8	1.831	49.3
67.2	1.393	20.2
76.9	1.240	26.0

Cell and atoms:
Cell: 6.0732 6.0732 6.0732 Å, 90.00 90.00 90.00°
Positions (direct):
Li  0.0000  0.0000  0.0000
Li  0.0000  0.5000  0.5000
Li  0.2500  0.2500  0.2500
Li  0.2500  0.7500  0.7500
Li  0.5000  0.0000  0.5000
Li  0.5000  0.5000  0.0000
Li  0.7500  0.2500  0.7500
Li  0.7500  0.7500  0.2500
Ga  0.0000  0.0000  0.5000
Ga  0.0000  0.5000  0.0000
Ga  0.5000  0.0000  0.0000
Ga  0.5000  0.5000  0.5000
Pt  0.2500  0.2500  0.7500
Pt  0.2500  0.7500  0.2500
Pt  0.7500  0.2500  0.2500
Pt  0.7500  0.7500  0.7500

8.
Simulated PXRD pattern
Compound: CeSe2
Radiation: Cu Ka
Structure: the PBE geometry in the Materials Project

Largest 6 diffraction maxima, in order of rising 2θ, 2θ from 15° to 90°:
Position (°2θ)	d/Å	I/Imax
23.7	3.758	38.3
30.0	2.977	33.9
31.9	2.804	66.4
37.1	2.422	100.0
38.8	2.318	52.4
43.0	2.105	57.9

Cell and atoms:
Cell: 8.3317 4.2121 8.4175 Å, 90.00 90.00 90.00°
Positions (direct):
Ce  0.2303  0.2457  0.3749
Ce  0.2303  0.2543  0.8749
Ce  0.7697  0.7457  0.1251
Ce  0.7697  0.7543  0.6251
Se  0.1357  0.7491  0.1250
Se  0.1357  0.7509  0.6250
Se  0.5000  0.2413  0.1249
Se  0.5000  0.2587  0.6249
Se  0.5000  0.7413  0.3751
Se  0.5000  0.7587  0.8751
Se  0.8643  0.2491  0.3750
Se  0.8643  0.2509  0.8750

9.
Simulated PXRD pattern
Compound: Ti4Zn3SnO12
Radiation: Cu Ka
Structure: the PBE geometry in the Materials Project

Largest 6 diffraction maxima, in order of rising 2θ, 2θ from 15° to 90°:
Position (°2θ)	d/Å	I/Imax
33.5	2.672	100.0
41.4	2.182	11.4
48.2	1.890	29.3
60.0	1.543	48.7
70.5	1.336	14.2
80.3	1.195	16.6

Cell and atoms:
Cell: 6.5459 6.5459 6.5459 Å, 109.47 109.47 109.47°
Positions (direct):
Ti  0.0000  0.0000  0.5000
Ti  0.0000  0.5000  0.0000
Ti  0.5000  0.0000  0.0000
Ti  0.5000  0.5000  0.5000
Zn  0.0000  0.5000  0.5000
Zn  0.5000  0.0000  0.5000
Zn  0.5000  0.5000  0.0000
Sn  0.0000  0.0000  0.0000
O  0.1154  0.3027  0.8128
O  0.1872  0.4899  0.3027
O  0.1872  0.8846  0.6973
O  0.3027  0.1872  0.4899
O  0.3027  0.8128  0.1154
O  0.4899  0.3027  0.1872
O  0.5101  0.6973  0.8128
O  0.6973  0.1872  0.8846
O  0.6973  0.8128  0.5101
O  0.8128  0.1154  0.3027
O  0.8128  0.5101  0.6973
O  0.8846  0.6973  0.1872

10.
Simulated PXRD pattern
Compound: Eu3Lu
Radiation: Cu Ka
Structure: the PBE geometry in the Materials Project

Largest 6 diffraction maxima, in order of rising 2θ, 2θ from 15° to 90°:
Position (°2θ)	d/Å	I/Imax
27.1	3.288	23.3
29.4	3.038	25.3
30.9	2.892	100.0
47.9	1.899	19.7
53.1	1.724	21.9
57.2	1.610	23.2

Cell and atoms:
Cell: 7.5944 7.5944 6.0752 Å, 90.00 90.00 120.00°
Positions (direct):
Eu  0.1700  0.3400  0.2500
Eu  0.1700  0.8300  0.2500
Eu  0.3400  0.1700  0.7500
Eu  0.6600  0.8300  0.2500
Eu  0.8300  0.1700  0.7500
Eu  0.8300  0.6600  0.7500
Lu  0.3333  0.6667  0.7500
Lu  0.6667  0.3333  0.2500

11.
Simulated PXRD pattern
Compound: Na2LaCuCl6
Radiation: Cu Ka
Structure: the PBE geometry in the Materials Project

Largest 6 diffraction maxima, in order of rising 2θ, 2θ from 15° to 90°:
Position (°2θ)	d/Å	I/Imax
16.9	5.260	100.0
23.9	3.720	52.1
34.1	2.630	69.1
38.3	2.353	46.6
42.1	2.148	24.0
49.0	1.860	45.0

Cell and atoms:
Cell: 7.4394 7.4394 7.4394 Å, 60.00 60.00 60.00°
Positions (direct):
Na  0.2500  0.2500  0.2500
Na  0.7500  0.7500  0.7500
La  0.0000  0.0000  0.0000
Cu  0.5000  0.5000  0.5000
Cl  0.2615  0.2615  0.7385
Cl  0.2615  0.7385  0.2615
Cl  0.2615  0.7385  0.7385
Cl  0.7385  0.2615  0.2615
Cl  0.7385  0.2615  0.7385
Cl  0.7385  0.7385  0.2615

12.
Simulated PXRD pattern
Compound: Nd3Dy
Radiation: Cu Ka
Structure: the PBE geometry in the Materials Project

Largest 6 diffraction maxima, in order of rising 2θ, 2θ from 15° to 90°:
Position (°2θ)	d/Å	I/Imax
30.0	2.980	100.0
34.8	2.581	50.7
50.0	1.825	36.3
59.4	1.556	43.3
81.2	1.184	17.7
83.8	1.154	16.4

Cell and atoms:
Cell: 5.1612 5.1612 5.1612 Å, 90.00 90.00 90.00°
Positions (direct):
Nd  0.0000  0.0000  0.5000
Nd  0.0000  0.5000  0.0000
Nd  0.5000  0.0000  0.0000
Dy  0.5000  0.5000  0.5000